Entry 1:
LiEr3In: theoretical X-ray diffraction stick pattern (Cu Kα, 1.54184 Å), based on a cell relaxed with PBE.
Lines closer than 0.1° are merged.

Crystal structure
abc: 8.3456 6.6737 10.2463
angles: 90.00 107.77 90.00
Space group P2_1/c (No. 14)
Symmetry-distinct sites (fractional):
Li: 0.0062 0.2486 0.0021 [4 per cell]
Er: 0.2175 0.0033 0.8043 [4 per cell]
Er: 0.2199 0.0030 0.3059 [4 per cell]
Er: 0.4069 0.7492 0.6019 [4 per cell]
In: 0.3766 0.2500 0.0944 [4 per cell]

Most intense lines, 2θ = 10–90°, by angle:
| d [Å] | I_rel | h k l |
| --- | --- | --- |
| 7.947 | 42 | 1 0 0 |
| 4.876 | 31 | 1 0 -2 |
| 3.077 | 32 | 1 2 0 |
| 2.754 | 74 | 1 2 -2 |
| 2.701 | 100 | 3 0 -2 |
| 2.562 | 47 | 1 0 -4 |
| 2.555 | 34 | 2 2 0 |
| 2.473 | 65 | 1 2 2 |
| 1.809 | 25 | 1 2 4 |
| 1.419 | 22 | 3 4 -2 |

=====

Entry 2:
Sm2Ga6Ir9: theoretical X-ray diffraction stick pattern (Cu Kα, 1.54184 Å), based on a cell relaxed with PBE.
Lines closer than 0.1° are merged.

Crystal structure
abc: 5.5451 5.5451 11.8807
angles: 90.00 90.00 120.00
Space group P6/mmm (No. 191)
Symmetry-distinct sites (fractional):
Sm: 0.0000 0.0000 0.1996 [2 per cell]
Ga: 0.3333 0.6667 0.1648 [4 per cell]
Ga: 0.3333 0.6667 0.5000 [2 per cell]
Ir: 0.0000 0.5000 0.0000 [3 per cell]
Ir: 0.0000 0.5000 0.3310 [6 per cell]

Most intense lines, 2θ = 10–90°, by angle:
| d [Å] | I_rel | h k l |
| --- | --- | --- |
| 4.802 | 39 | 1 0 0 |
| 3.960 | 35 | 0 0 3 |
| 3.055 | 37 | 1 0 3 |
| 2.401 | 89 | 2 0 0 |
| 2.271 | 75 | 1 1 3 |
| 2.053 | 100 | 2 0 3 |
| 1.980 | 26 | 0 0 6 |
| 1.528 | 35 | 2 0 6 |
| 1.386 | 30 | 2 2 0 |
| 1.136 | 27 | 2 2 6 |